Diffraction record for Na3MnF4. The PXRD pattern is theoretical, not measured: it uses a cell relaxed with PBE+U and CuKα.
Neutral-atom scattering factors, no anomalous dispersion.

Principal peaks in the range 10 to 90 degrees two-theta, by angle:
| hkl | two_theta | intensity |
| --- | --- | --- |
| 1 0 1 | 20.5 | 26 |
| 2 0 0 | 37.1 | 100 |
| 0 0 4 | 37.4 | 48 |
| 2 2 0 | 53.4 | 30 |
| 2 0 4 | 53.7 | 59 |
| 2 2 4 | 67.0 | 26 |

Structural model:
```
data_Na3MnF4
_chemical_formula_sum 'Na6 Mn2 F8'
_cell_length_a 4.8503
_cell_length_b 4.8503
_cell_length_c 9.6251
_cell_angle_alpha 90.00
_cell_angle_beta 90.00
_cell_angle_gamma 90.00
_symmetry_space_group_name_H-M 'I 4/m m m'
_symmetry_Int_Tables_number 139
_symmetry_space_group_name_Hall '-I 4 2'
loop_
_atom_site_label
_atom_site_fract_x
_atom_site_fract_y
_atom_site_fract_z
Na1 0.0000 0.0000 0.0000
Na2 0.0000 0.5000 0.2500
Mn1 0.0000 0.0000 0.5000
F1 0.0000 0.0000 0.2583
F2 0.0000 0.5000 0.0000
```